Starting from a structure optimized by DFT (GGA-PBE), the powder diffraction line list of GdYFe2B2N2 was computed for CuKα.

Most intense lines, 5 to 70 degrees two-theta, low angle first:
d/Å, I_rel, h k l
3.162, 71, 1 0 1
2.580, 100, 0 0 3
2.336, 65, 1 1 1
2.070, 48, 1 1 2
1.733, 31, 2 0 0
1.689, 18, 1 0 4
1.519, 36, 1 1 4
1.438, 46, 2 0 3

Structure:
a = 3.4653 Å, b = 3.4653 Å, c = 7.7346 Å
α = 90.00°, β = 90.00°, γ = 90.00°
Space group P4mm (No. 99)
Symmetry-distinct sites (fractional):
Gd1 0.0000 0.0000 0.0000 x1
Y1 0.5000 0.5000 0.6679 x1
Fe1 0.0000 0.5000 0.3335 x2
B1 0.0000 0.0000 0.4975 x1
B2 0.5000 0.5000 0.1687 x1
N1 0.0000 0.0000 0.6898 x1
N2 0.5000 0.5000 0.9759 x1